# LaU3
Theoretical XRD peak list, a wavelength of 1.5418 Å. Input: a DFT-relaxed cell (PBE, the Materials Project).

Top 10 peaks for 2θ from 15° to 90°, by angle:
d 4.546, intensity 3; d 3.215, intensity 3; d 2.625, intensity 100; d 2.273, intensity 50; d 2.033, intensity 2; d 1.856, intensity 1; d 1.607, intensity 35; d 1.371, intensity 42; d 1.312, intensity 12; d 1.137, intensity 6

Cell and atoms:
```
LaU3
1.0
4.5460 0.0000 0.0000
0.0000 4.5460 0.0000
0.0000 0.0000 4.5460
La U
1 3
Direct
0.0000 0.0000 0.0000 La
0.0000 0.5000 0.5000 U
0.5000 0.0000 0.5000 U
0.5000 0.5000 0.0000 U
```